Structure and theoretical PXRD pattern of ZnCd3Rh4 (a structure optimized by DFT (PBE); Cu Kα (weighted mean of Kα1 and Kα2)).
Kinematic intensities with the Lorentz-polarization factor, no thermal factor.

Top 10 peaks for 10 to 90 degrees two-theta, in order of rising 2θ:
35.23 deg, d = 2.548 Å, rel. 5, hkl 1 0 3; 39.81 deg, d = 2.265 Å, rel. 100, hkl 1 0 4; 40.63 deg, d = 2.220 Å, rel. 51, hkl 1 1 0; 56.28 deg, d = 1.635 Å, rel. 7, hkl 0 0 8; 58.82 deg, d = 1.570 Å, rel. 16, hkl 2 0 0; 65.27 deg, d = 1.429 Å, rel. 3, hkl 1 1 7; 71.70 deg, d = 1.316 Å, rel. 13, hkl 1 1 8; 73.38 deg, d = 1.290 Å, rel. 31, hkl 2 1 4; 85.82 deg, d = 1.132 Å, rel. 8, hkl 2 0 8; 87.96 deg, d = 1.110 Å, rel. 5, hkl 2 2 0

Cell: 3.1400 3.1400 13.0765 Å, 90.00 90.00 90.00°
Space group P4/mmm (No. 123)
Asymmetric unit:
Zn (0.0000, 0.0000, 0.0000) x1
Cd (0.0000, 0.0000, 0.2405) x2
Cd (0.0000, 0.0000, 0.5000) x1
Rh (0.5000, 0.5000, 0.1075) x2
Rh (0.5000, 0.5000, 0.3695) x2